[1]
Calculated powder X-ray diffraction pattern of GeS3Br2 for Cu Kα (weighted mean of Kα1 and Kα2), from DFT lattice parameters and positions (GGA-PBE).

Most intense lines, 10 to 90 degrees two-theta, most intense first:
- hkl 1 -1 1, 2θ 24.56, I = 100
- hkl 0 0 3, 2θ 24.32, I = 79
- hkl 0 1 -1, 2θ 11.94, I = 69
- hkl 1 1 -1, 2θ 23.39, I = 64
- hkl 1 0 -1, 2θ 21.48, I = 41
- hkl 0 3 1, 2θ 30.71, I = 38
- hkl 1 1 -2, 2θ 26.47, I = 36
- hkl 2 0 0, 2θ 42.16, I = 32
- hkl 1 -1 4, 2θ 41.15, I = 28
- hkl 1 1 2, 2θ 29.82, I = 23

Structural model:
abc: 4.3074 9.3124 11.0755
angles: 94.92 95.57 90.30
Space group P1 (No. 1)
Asymmetric unit:
Ge1 0.0000 0.0000 0.0000
Ge2 0.4802 0.1113 0.9221
S1 0.0448 0.4502 0.6407
S2 0.0513 0.9805 0.2022
S3 0.1577 0.5535 0.3678
S4 0.3240 0.5574 0.5551
S5 0.4288 0.1306 0.7199
S6 0.4369 0.6606 0.2822
Br1 0.0380 0.2100 0.2761
Br2 0.4428 0.9010 0.6462
Br3 0.4906 0.3581 0.9845
Br4 0.9899 0.7531 0.9379


[2]
Calculated powder X-ray diffraction pattern of Sm4GeS2Br for Cu Kα (weighted mean of Kα1 and Kα2), from DFT lattice parameters and positions (GGA-PBE).

Most intense lines, 10 to 90 degrees two-theta, most intense first:
- hkl 2 0 -2, 2θ 30.56, I = 100
- hkl 1 1 -3, 2θ 43.53, I = 24
- hkl 3 1 -1, 2θ 44.01, I = 23
- hkl 1 1 -1, 2θ 26.56, I = 20
- hkl 2 2 -2, 2θ 54.70, I = 13
- hkl 0 2 0, 2θ 44.20, I = 12
- hkl 2 0 2, 2θ 43.30, I = 11
- hkl 4 0 -4, 2θ 63.62, I = 10
- hkl 0 0 2, 2θ 26.02, I = 9
- hkl 5 1 -3, 2θ 72.58, I = 9

Structural model:
abc: 7.1364 4.0985 7.2382
angles: 90.00 108.89 90.00
Space group P2/m (No. 10)
Asymmetric unit:
Sm1 0.2226 0.0000 0.2203
Sm2 0.2371 0.5000 0.7633
Ge1 0.5000 0.0000 0.0000
S1 0.0000 0.0000 0.5000
S2 0.0000 0.5000 0.0000
Br1 0.5000 0.5000 0.5000


[3]
Calculated powder X-ray diffraction pattern of Ge19Sb4Br4 for Cu Kα (weighted mean of Kα1 and Kα2), from DFT lattice parameters and positions (GGA-PBE).

Most intense lines, 10 to 90 degrees two-theta, most intense first:
- hkl 3 2 1, 2θ 30.52, I = 100
- hkl 5 3 0, 2θ 48.43, I = 52
- hkl 5 3 2, 2θ 51.40, I = 45
- hkl 2 2 2, 2θ 28.21, I = 30
- hkl 3 3 0, 2θ 34.73, I = 26
- hkl 3 2 0, 2θ 29.38, I = 26
- hkl 6 0 0, 2θ 49.93, I = 23
- hkl 4 1 0, 2θ 33.72, I = 16
- hkl 5 3 1, 2θ 49.18, I = 14
- hkl 6 5 5, 2θ 81.44, I = 10

Structural model:
abc: 10.9593 10.9593 10.9593
angles: 90.00 90.00 90.00
Space group P-43n (No. 218)
Asymmetric unit:
Ge1 0.0000 0.2500 0.5000
Ge2 0.0099 0.1143 0.6839
Ge3 0.1778 0.1778 0.8222
Sb1 0.1831 0.1831 0.1831
Br1 0.0000 0.0000 0.0000
Br2 0.0000 0.5000 0.2500


[4]
Calculated powder X-ray diffraction pattern of Ge2SbBr for Cu Kα (weighted mean of Kα1 and Kα2), from DFT lattice parameters and positions (GGA-PBE).

Most intense lines, 10 to 90 degrees two-theta, most intense first:
- hkl 2 2 0, 2θ 35.18, I = 100
- hkl 4 2 2, 2θ 63.13, I = 35
- hkl 4 0 0, 2θ 50.61, I = 17
- hkl 6 2 0, 2θ 85.03, I = 16
- hkl 4 4 0, 2θ 74.38, I = 11
- hkl 2 0 0, 2θ 24.68, I = 3
- hkl 1 1 1, 2θ 21.33, I = 3
- hkl 3 1 1, 2θ 41.51, I = 2
- hkl 4 2 0, 2θ 57.09, I = 1
- hkl 2 2 2, 2θ 43.45, I = 1

Structural model:
abc: 7.2148 7.2148 7.2148
angles: 90.00 90.00 90.00
Space group Fm-3m (No. 225)
Asymmetric unit:
Ge1 0.2500 0.2500 0.2500
Sb1 0.0000 0.0000 0.0000
Br1 0.0000 0.0000 0.5000


[5]
Calculated powder X-ray diffraction pattern of Sc2GeBr for Cu Kα (weighted mean of Kα1 and Kα2), from DFT lattice parameters and positions (GGA-PBE).

Most intense lines, 10 to 90 degrees two-theta, most intense first:
- hkl 0 1 2, 2θ 25.94, I = 100
- hkl 0 1 8, 2θ 39.90, I = 58
- hkl 1 1 0, 2θ 43.61, I = 50
- hkl 1 0 10, 2θ 46.53, I = 31
- hkl 0 0 6, 2θ 22.96, I = 22
- hkl 1 0 1, 2θ 25.07, I = 22
- hkl 1 1 6, 2θ 49.85, I = 17
- hkl 2 0 8, 2θ 60.58, I = 16
- hkl 0 0 3, 2θ 11.42, I = 15
- hkl 1 2 8, 2θ 77.57, I = 15

Structural model:
abc: 4.1510 4.1510 23.2410
angles: 90.00 90.00 120.00
Space group R-3m (No. 166, hexagonal axes)
Asymmetric unit:
Sc1 0.0000 0.0000 0.1137
Ge1 0.0000 0.0000 0.5000
Br1 0.0000 0.0000 0.0000


[6]
Calculated powder X-ray diffraction pattern of Sc3GeBr3 for Cu Kα (weighted mean of Kα1 and Kα2), from DFT lattice parameters and positions (GGA-PBE).

Most intense lines, 10 to 90 degrees two-theta, most intense first:
- hkl 4 0 0, 2θ 32.29, I = 100
- hkl 4 4 0, 2θ 46.32, I = 69
- hkl 2 2 2, 2θ 27.87, I = 34
- hkl 8 4 0, 2θ 76.90, I = 27
- hkl 4 4 4, 2θ 57.59, I = 23
- hkl 8 4 4, 2θ 85.87, I = 20
- hkl 6 2 2, 2θ 54.92, I = 18
- hkl 8 0 0, 2θ 67.59, I = 10
- hkl 6 6 2, 2θ 74.61, I = 8
- hkl 1 1 0, 2θ 11.28, I = 7

Structural model:
abc: 11.0886 11.0886 11.0886
angles: 90.00 90.00 90.00
Space group I4_132 (No. 214)
Asymmetric unit:
Sc1 0.1119 0.3619 0.1250
Ge1 0.1250 0.1250 0.1250
Br1 0.1220 0.1280 0.6250


[7]
Calculated powder X-ray diffraction pattern of Ge2Se2Br for Cu Kα (weighted mean of Kα1 and Kα2), from DFT lattice parameters and positions (GGA-PBE).

Most intense lines, 10 to 90 degrees two-theta, most intense first:
- hkl 0 1 -1, 2θ 15.27, I = 100
- hkl -1 2 1, 2θ 30.53, I = 68
- hkl 1 1 -2, 2θ 28.52, I = 63
- hkl 2 -1 1, 2θ 31.68, I = 52
- hkl -2 1 3, 2θ 43.07, I = 42
- hkl 3 0 -1, 2θ 45.82, I = 24
- hkl 2 -2 2, 2θ 38.81, I = 17
- hkl 1 -1 0, 2θ 14.99, I = 16
- hkl 0 2 -4, 2θ 48.67, I = 15
- hkl 1 1 0, 2θ 26.27, I = 14

Structural model:
abc: 6.6474 7.3332 7.7916
angles: 104.53 98.55 116.53
Space group P-1 (No. 2)
Asymmetric unit:
Ge1 0.1274 0.3227 0.4163
Ge2 0.2854 0.0500 0.0048
Se1 0.0285 0.9369 0.2139
Se2 0.2569 0.7188 0.7973
Br1 0.3996 0.5554 0.2726


[8]
Calculated powder X-ray diffraction pattern of Ge4Se7Br for Cu Kα (weighted mean of Kα1 and Kα2), from DFT lattice parameters and positions (GGA-PBE).

Most intense lines, 10 to 90 degrees two-theta, most intense first:
- hkl 4 1 1, 2θ 28.18, I = 100
- hkl 2 1 0, 2θ 16.46, I = 48
- hkl 4 1 0, 2θ 24.25, I = 46
- hkl 2 0 0, 2θ 10.18, I = 45
- hkl 0 1 0, 2θ 12.90, I = 35
- hkl 6 0 2, 2θ 42.53, I = 32
- hkl 1 1 0, 2θ 13.88, I = 31
- hkl 0 2 0, 2θ 25.97, I = 30
- hkl 1 1 2, 2θ 31.83, I = 29
- hkl 5 2 0, 2θ 36.82, I = 27

Structural model:
abc: 17.3722 6.8621 6.2624
angles: 90.00 90.00 90.00
Space group Pmn2_1 (No. 31)
Asymmetric unit:
Ge1 0.0982 0.0691 0.0000
Ge2 0.2369 0.3363 0.4319
Se1 0.0000 0.2293 0.7759
Se2 0.1112 0.2039 0.3710
Se3 0.1700 0.8578 0.7448
Se4 0.2461 0.3244 0.8250
Br1 0.0000 0.8141 0.1522


Question: Number 8 is which compound?
Answer: Ge4Se7Br